Entry 1:
The following is a computed X-ray diffraction stick pattern of Pm2Nd3Ga4. It was derived from the GGA-PBE geometry in Alexandria, using Cu Kα, 1.54184 Å.
Neutral-atom scattering factors, no anomalous dispersion.

Crystal structure
Cell lengths 8.2403, 8.2417, 7.5558 Å; angles 90.00, 105.74, 90.00 degrees
Space group P2_1/c (No. 14)
Symmetry-distinct sites (fractional):
Pm 0.1870 0.1866 0.0726 x4
Nd 0.2354 0.6754 0.2528 x4
Nd 0.5000 0.0000 0.5000 x2
Ga 0.0799 0.5284 0.8656 x4
Ga 0.4850 0.1236 0.8842 x4

Largest 6 diffraction maxima, by angle, 2θ = 15–90°:
Position (°2θ)	I_rel
30.5	483
31.3	1000
31.6	634
33.9	270
34.9	390
37.4	356


Entry 2:
The following is a computed X-ray diffraction stick pattern of PuGa9Rh3. It was derived from the GGA-PBE geometry in Alexandria, using Cu Kα, 1.54184 Å.
Neutral-atom scattering factors, no anomalous dispersion.

Crystal structure
Cell lengths 5.4258, 12.6244, 6.7838 Å; angles 90.00, 111.78, 90.00 degrees
Space group C2/m (No. 12)
Symmetry-distinct sites (fractional):
Pu 0.0000 0.0000 0.0000 x2
Ga 0.0000 0.0000 0.5000 x2
Ga 0.0967 0.3914 0.2085 x8
Ga 0.1774 0.1794 0.3395 x8
Rh 0.0000 0.5000 0.5000 x2
Rh 0.2500 0.2500 0.0000 x4

Largest 6 diffraction maxima, by angle, 2θ = 15–90°:
Position (°2θ)	I_rel
34.1	522
38.5	850
39.3	718
40.1	481
40.5	1000
40.6	398